Starting from a cell relaxed with PBE, the X-ray diffraction stick pattern of Pb12Br7ClO8 was computed for Cu Kα (λ = 1.5418 Å).
No peak broadening, texture or thermal motion is included.

Cell and atoms:
```
data_Pb12Br7ClO8
_space_group_name_H-M_alt 'P 1 m 1'
_space_group_IT_number 6
_cell_length_a 10.2222
_cell_length_b 5.9978
_cell_length_c 12.4110
_cell_angle_alpha 90.00
_cell_angle_beta 90.45
_cell_angle_gamma 90.00
loop_
_space_group_symop_operation_xyz
'x,y,z'
'x,-y,z'
loop_
_atom_site_label
_atom_site_fract_x
_atom_site_fract_y
_atom_site_fract_z
_atom_site_occupancy
Pb1 0.0000 0.0000 0.0000 1
Pb2 0.0650 0.0000 0.5005 1
Pb3 0.1457 0.5000 0.1548 1
Pb4 0.2131 0.5000 0.8673 1
Pb5 0.3561 0.0000 0.0303 1
Pb6 0.4267 0.0000 0.7427 1
Pb7 0.4963 0.5000 0.3865 1
Pb8 0.5675 0.5000 0.9004 1
Pb9 0.6408 0.0000 0.2369 1
Pb10 0.7086 0.0000 0.5257 1
Pb11 0.8531 0.5000 0.3654 1
Pb12 0.9213 0.5000 0.6536 1
Br1 0.0906 0.0000 0.7551 1
Br2 0.1989 0.5000 0.5703 1
Br3 0.3618 0.0000 0.3182 1
Br4 0.5886 0.5000 0.6405 1
Br5 0.7034 0.0000 0.8244 1
Br6 0.8663 0.5000 0.0717 1
Br7 0.9736 0.0000 0.2544 1
Cl1 0.4722 0.5000 0.1399 1
O1 0.1726 0.2462 0.0224 1
O2 0.3969 0.2538 0.8756 1
O3 0.6686 0.2539 0.3692 1
O4 0.8922 0.2457 0.5209 1
```

Top 10 peaks for 2θ from 10° to 80°, by angle:
2θ 11.2, intensity 54
2θ 22.4, intensity 47
2θ 24.0, intensity 44
2θ 27.6, intensity 62
2θ 27.7, intensity 29
2θ 29.8, intensity 85
2θ 30.2, intensity 100
2θ 31.0, intensity 49
2θ 32.5, intensity 99
2θ 54.6, intensity 29